This entry pairs a crystal structure of NaMn2NiS4 with its computed powder diffractogram. Radiation: CuKα. Structure: a cell relaxed with PBE.
Peak positions follow from Bragg's law for the DFT cell and can differ from measured ones.

Cell and atoms:
Unit cell a=6.6328 b=6.6328 c=13.2884 alpha=90.00 beta=90.00 gamma=149.66
Sites, in units of the cell vectors:
Na: 0.1534 0.8466 0.7500
Na: 0.8466 0.1534 0.2500
Mn: 0.3947 0.6053 0.5858
Mn: 0.3947 0.6053 0.9142
Mn: 0.6053 0.3947 0.0858
Mn: 0.6053 0.3947 0.4142
Ni: 0.1302 0.8698 0.2500
Ni: 0.8698 0.1302 0.7500
S: 0.0000 0.0000 0.0000
S: 0.0000 0.0000 0.5000
S: 0.2272 0.7728 0.1124
S: 0.2272 0.7728 0.3876
S: 0.4774 0.5226 0.7500
S: 0.5226 0.4774 0.2500
S: 0.7728 0.2272 0.6124
S: 0.7728 0.2272 0.8876

Largest 10 diffraction maxima, most intense first, 2θ = 5–70°:
d_spacing  two_theta  I_rel
5.767  15.4  100
2.301  39.1  38
2.496  36.0  38
1.968  46.1  17
2.215  40.7  15
1.736  52.7  13
2.359  38.1  13
1.821  50.1  13
2.949  30.3  12
3.643  24.4  12

---

This entry pairs a crystal structure of CaDyPa2As4 with its computed powder diffractogram. Radiation: CuKα. Structure: a cell relaxed with PBE.
Peak positions follow from Bragg's law for the DFT cell and can differ from measured ones.

Cell and atoms:
Unit cell a=5.8219 b=5.8219 c=11.7133 alpha=90.00 beta=90.00 gamma=90.00
Sites, in units of the cell vectors:
Ca: 0.0000 0.0000 0.0000
Ca: 0.5000 0.5000 0.5000
Dy: 0.0000 0.5000 0.7500
Dy: 0.5000 0.0000 0.2500
Pa: 0.0000 0.0000 0.5000
Pa: 0.0000 0.5000 0.2500
Pa: 0.5000 0.0000 0.7500
Pa: 0.5000 0.5000 0.0000
As: 0.0000 0.0000 0.2544
As: 0.0000 0.0000 0.7456
As: 0.0000 0.5000 0.0024
As: 0.0000 0.5000 0.4976
As: 0.5000 0.0000 0.5024
As: 0.5000 0.0000 0.9976
As: 0.5000 0.5000 0.2456
As: 0.5000 0.5000 0.7544

Largest 10 diffraction maxima, most intense first, 2θ = 5–70°:
d_spacing  two_theta  I_rel
2.911  30.7  100
2.064  43.9  75
2.928  30.5  51
1.684  54.5  40
2.058  44.0  37
3.368  26.5  36
5.213  17.0  34
1.455  64.0  12
1.756  52.1  12
2.542  35.3  12

---

This entry pairs a crystal structure of DyY6Cd2 with its computed powder diffractogram. Radiation: CuKα. Structure: a cell relaxed with PBE.
Peak positions follow from Bragg's law for the DFT cell and can differ from measured ones.

Cell and atoms:
Unit cell a=6.6148 b=6.6148 c=11.9381 alpha=107.81 beta=107.81 gamma=32.85
Sites, in units of the cell vectors:
Dy: 0.0000 0.0000 0.0000
Y: 0.0169 0.0169 0.3381
Y: 0.3124 0.3124 0.4147
Y: 0.3150 0.3150 0.1230
Y: 0.6850 0.6850 0.8770
Y: 0.6876 0.6876 0.5853
Y: 0.9831 0.9831 0.6619
Cd: 0.3541 0.3541 0.7939
Cd: 0.6459 0.6459 0.2061

Largest 10 diffraction maxima, most intense first, 2θ = 5–70°:
d_spacing  two_theta  I_rel
2.726  32.9  100
2.735  32.7  96
2.832  31.6  53
2.816  31.8  46
1.612  57.1  30
1.871  48.7  19
1.561  59.2  18
1.558  59.3  17
1.990  45.6  16
11.315  7.8  15

---

This entry pairs a crystal structure of CsSmCrCl6 with its computed powder diffractogram. Radiation: CuKα. Structure: a cell relaxed with PBE.
Peak positions follow from Bragg's law for the DFT cell and can differ from measured ones.

Cell and atoms:
Unit cell a=6.7758 b=6.7758 c=7.8342 alpha=91.93 beta=91.93 gamma=116.50
Sites, in units of the cell vectors:
Cs: 0.0000 0.0000 0.0000
Sm: 0.6592 0.3408 0.5000
Cr: 0.3167 0.6833 0.5000
Cl: 0.9998 0.6543 0.3311
Cl: 0.3422 0.4102 0.3135
Cl: 0.3457 0.0002 0.6689
Cl: 0.5898 0.6578 0.6865
Cl: 0.6040 0.0225 0.2711
Cl: 0.9775 0.3960 0.7289

Largest 10 diffraction maxima, most intense first, 2θ = 5–70°:
d_spacing  two_theta  I_rel
4.919  18.0  100
4.638  19.1  87
4.666  19.0  83
2.519  35.6  68
7.818  11.3  52
2.719  32.9  46
3.380  26.4  35
2.018  44.9  34
2.596  34.5  28
2.877  31.1  26